No. 1
Diffraction record for TbWClO4. The powder XRD pattern is simulated, not measured: it uses a cell relaxed with PBE+U and Cu Kα (λ = 1.5418 Å).

Atomic structure:
```
TbWClO4
1.0
5.2071 -3.6963 0.0000
5.2071 3.6963 0.0000
-2.1170 0.0000 6.6751
Tb W Cl O
2 2 2 8
Direct
0.2225 0.2225 0.1183
0.7775 0.7775 0.8817
0.3634 0.3634 0.7340
0.6366 0.6366 0.2660
0.0115 0.0115 0.7706
0.9885 0.9885 0.2294
0.1089 0.4917 0.8458
0.2956 0.2956 0.4658
0.4551 0.4551 0.1956
0.4917 0.1089 0.8458
0.5083 0.8911 0.1542
0.5449 0.5449 0.8044
0.7044 0.7044 0.5342
0.8911 0.5083 0.1542
```

Peak list (6 most intense, 10 to 90 degrees two-theta, by angle)
2θ 17.87, I 37; 2θ 24.08, I 100; 2θ 25.39, I 58; 2θ 28.22, I 60; 2θ 28.89, I 58; 2θ 34.10, I 41

No. 2
Diffraction record for Ba2TlMo2O7. The powder XRD pattern is simulated, not measured: it uses a cell relaxed with PBE+U and Cu Kα (λ = 1.5418 Å).

Atomic structure:
```
Ba2TlMo2O7
1.0
3.9781 0.0000 0.0000
0.0000 3.9781 0.0000
0.0000 0.0000 13.3373
Ba Tl Mo O
2 1 2 7
Direct
0.0000 0.0000 0.1976
0.0000 0.0000 0.8024
0.5000 0.5000 0.0000
0.5000 0.5000 0.3608
0.5000 0.5000 0.6392
0.0000 0.0000 0.0000
0.0000 0.5000 0.3663
0.0000 0.5000 0.6337
0.5000 0.0000 0.3663
0.5000 0.0000 0.6337
0.5000 0.5000 0.2113
0.5000 0.5000 0.7887
```

Peak list (6 most intense, 10 to 90 degrees two-theta, by angle)
2θ 26.08, I 50; 2θ 30.15, I 100; 2θ 31.81, I 59; 2θ 45.61, I 31; 2θ 46.94, I 28; 2θ 55.65, I 36

No. 3
Diffraction record for MoO3. The powder XRD pattern is simulated, not measured: it uses a cell relaxed with PBE+U and Cu Kα (λ = 1.5418 Å).

Atomic structure:
```
MoO3
1.0
7.8395 0.0000 0.0000
0.0000 5.3953 0.0000
-1.2793 0.0000 5.4027
Mo O
4 12
Direct
0.0000 0.2230 0.0000
0.0000 0.7770 0.5000
0.4946 0.2476 0.1635
0.4946 0.7524 0.6635
0.0090 0.4468 0.6830
0.0090 0.5532 0.1830
0.2468 0.1753 0.0784
0.2468 0.8247 0.5784
0.4940 0.4906 0.9218
0.4940 0.5094 0.4218
0.5542 0.0069 0.4023
0.5542 0.9931 0.9023
0.8347 0.4119 0.7376
0.8347 0.5881 0.2376
0.9473 0.0636 0.2689
0.9473 0.9364 0.7689
```

Peak list (6 most intense, 10 to 90 degrees two-theta, by angle)
2θ 23.31, I 100; 2θ 24.31, I 22; 2θ 30.31, I 20; 2θ 35.89, I 13; 2θ 47.16, I 11; 2θ 47.67, I 11

No. 4
Diffraction record for MgCr2O4. The powder XRD pattern is simulated, not measured: it uses a cell relaxed with PBE+U and Cu Kα (λ = 1.5418 Å).

Atomic structure:
```
MgCr2O4
1.0
5.8727 0.0000 0.0000
0.0000 10.2436 0.0000
0.0000 0.0000 5.0996
Mg Cr O
4 8 16
Direct
0.2500 0.2500 0.0317
0.2500 0.7500 0.3555
0.7500 0.2500 0.6445
0.7500 0.7500 0.9683
0.0000 0.0000 0.5000
0.0000 0.5000 0.5000
0.2500 0.5143 0.9890
0.2500 0.9857 0.9890
0.5000 0.0000 0.5000
0.5000 0.5000 0.5000
0.7500 0.0143 0.0110
0.7500 0.4857 0.0110
0.0033 0.1119 0.8343
0.0033 0.3881 0.8343
0.2500 0.0977 0.3075
0.2500 0.4023 0.3075
0.2500 0.6083 0.6447
0.2500 0.8917 0.6447
0.4967 0.1119 0.8343
0.4967 0.3881 0.8343
0.5033 0.6119 0.1657
0.5033 0.8881 0.1657
0.7500 0.1083 0.3553
0.7500 0.3917 0.3553
0.7500 0.5977 0.6925
0.7500 0.9023 0.6925
0.9967 0.6119 0.1657
0.9967 0.8881 0.1657
```

Peak list (6 most intense, 10 to 90 degrees two-theta, by angle)
2θ 17.31, I 100; 2θ 35.24, I 35; 2θ 39.52, I 63; 2θ 44.38, I 18; 2θ 50.51, I 21; 2θ 50.57, I 41